This entry pairs a crystal structure of Ni2Os3 with its computed XRD peak list. Radiation: λ = 1.5418 Å (Cu Kα). Structure: the GGA-PBE geometry in Alexandria.

a = 8.767 Å, b = 12.828 Å, c = 4.694 Å
α = 90.00°, β = 90.00°, γ = 90.00°
Space group Fdd2 (No. 43)
Asymmetric unit:
1 Ni 0.020 0.202 0.000 x16
2 Os 0.000 0.000 0.040 x8
3 Os 0.036 0.096 0.533 x16

Top 10 peaks for 15° ≤ 2θ ≤ 90°, in order of rising 2θ:
2θ (°)  I_rel  (hkl)
24.60  34  2 2 0
30.05  17  1 3 1
41.19  31  4 0 0
41.41  100  1 5 1
42.11  23  3 3 1
43.64  19  4 2 0
43.75  77  2 0 2
51.22  42  3 5 1
71.43  19  1 5 3
86.43  18  0 10 2